No. 1
Diffraction record for Ac3Nd8Dy. The powder diffraction line list is calculated, not measured: it uses a cell relaxed with GGA-PBE and Cu Ka.
Peak positions follow from Bragg's law for the DFT cell and can differ from measured ones.

Top 8 peaks for 10 to 80 degrees two-theta, sorted by position:
d (Å), intensity
3.108, 86
3.025, 40
3.010, 100
2.755, 22
2.675, 34
2.653, 26
2.572, 33
1.635, 23

Cell and atoms:
a b c (Å): 9.2677 9.2677 9.2677
angles (deg): 137.35 117.85 78.30
Fractional positions:
1 Ac 0.0000 0.0000 0.0000
2 Ac 0.1314 0.6314 0.5000
3 Ac 0.8686 0.3686 0.5000
4 Nd 0.1453 0.1541 0.7111
5 Nd 0.2416 0.7672 0.2119
6 Nd 0.4430 0.4342 0.2889
7 Nd 0.4447 0.2328 0.4744
8 Nd 0.5553 0.0297 0.7881
9 Nd 0.5570 0.8459 0.9911
10 Nd 0.7584 0.9703 0.5256
11 Nd 0.8547 0.5658 0.0089
12 Dy 0.5000 0.5000 0.0000

No. 2
Diffraction record for Ac8Nd2Dy3. The powder diffraction line list is calculated, not measured: it uses a cell relaxed with GGA-PBE and Cu Ka.
Peak positions follow from Bragg's law for the DFT cell and can differ from measured ones.

Top 8 peaks for 10 to 80 degrees two-theta, sorted by position:
d (Å), intensity
3.144, 100
3.124, 33
2.723, 46
2.709, 22
1.928, 17
1.922, 17
1.915, 16
1.643, 15

Cell and atoms:
a b c (Å): 6.6662 6.6869 12.0971
angles (deg): 90.18 100.67 99.65
Fractional positions:
1 Ac 0.0430 0.4141 0.1489
2 Ac 0.1965 0.1186 0.7784
3 Ac 0.3419 0.8068 0.3821
4 Ac 0.4189 0.6557 0.6954
5 Ac 0.5811 0.3443 0.3046
6 Ac 0.6580 0.1932 0.6179
7 Ac 0.8035 0.8814 0.2216
8 Ac 0.9570 0.5859 0.8511
9 Nd 0.1130 0.2672 0.4627
10 Nd 0.8870 0.7328 0.5373
11 Dy 0.2759 0.9606 0.0731
12 Dy 0.5000 0.5000 0.0000
13 Dy 0.7241 0.0394 0.9269